For PrVO3, DFT lattice parameters and positions (GGA+U) gives the computed PXRD pattern in this record (Cu Ka).
Neutral-atom scattering factors, no anomalous dispersion.

Crystal structure
Unit cell a=5.7345 b=7.8832 c=5.5172 alpha=90.00 beta=90.00 gamma=90.00
Positions (direct):
Pr 0.0576 0.2500 0.0160
Pr 0.4424 0.7500 0.5160
Pr 0.5576 0.2500 0.4840
Pr 0.9424 0.7500 0.9840
V 0.0000 0.0000 0.5000
V 0.0000 0.5000 0.5000
V 0.5000 0.0000 0.0000
V 0.5000 0.5000 0.0000
O 0.0239 0.7500 0.4074
O 0.2077 0.5479 0.8009
O 0.2077 0.9521 0.8009
O 0.2923 0.0479 0.3009
O 0.2923 0.4521 0.3009
O 0.4761 0.2500 0.9074
O 0.5239 0.7500 0.0926
O 0.7077 0.5479 0.6991
O 0.7077 0.9521 0.6991
O 0.7923 0.0479 0.1991
O 0.7923 0.4521 0.1991
O 0.9761 0.2500 0.5926

Principal peaks in the range 10° ≤ 2θ ≤ 80°, sorted by position:
2theta	I (rel.)
22.4	21
31.2	20
32.0	100
32.5	25
45.6	22
57.6	22

=====

For Sr3Co2O9, DFT lattice parameters and positions (GGA+U) gives the computed PXRD pattern in this record (Cu Ka).
Neutral-atom scattering factors, no anomalous dispersion.

Crystal structure
Unit cell a=12.6779 b=12.6779 c=3.7787 alpha=98.17 beta=98.17 gamma=17.80
Positions (direct):
Sr 0.0000 0.0000 0.0000
Sr 0.1581 0.1581 0.1583
Sr 0.8419 0.8419 0.8417
Co 0.4229 0.4229 0.4164
Co 0.5771 0.5771 0.5836
O 0.0889 0.0889 0.5895
O 0.2636 0.2636 0.2737
O 0.3185 0.3185 0.3144
O 0.4121 0.4121 0.9096
O 0.5000 0.5000 0.5000
O 0.5879 0.5879 0.0904
O 0.6815 0.6815 0.6856
O 0.7364 0.7364 0.7263
O 0.9111 0.9111 0.4105

Principal peaks in the range 10° ≤ 2θ ≤ 80°, sorted by position:
2theta	I (rel.)
32.9	100
34.1	69
34.6	33
34.8	32
46.3	32
48.2	28

=====

For Ca8TiMn7O24, DFT lattice parameters and positions (GGA+U) gives the computed PXRD pattern in this record (Cu Ka).
Neutral-atom scattering factors, no anomalous dispersion.

Crystal structure
Unit cell a=7.6249 b=7.6249 c=7.6249 alpha=90.00 beta=90.00 gamma=90.00
Positions (direct):
Ca 0.2490 0.2490 0.2490
Ca 0.2490 0.2490 0.7510
Ca 0.2490 0.7510 0.2490
Ca 0.2490 0.7510 0.7510
Ca 0.7510 0.2490 0.2490
Ca 0.7510 0.2490 0.7510
Ca 0.7510 0.7510 0.2490
Ca 0.7510 0.7510 0.7510
Ti 0.5000 0.5000 0.5000
Mn 0.0000 0.0000 0.0000
Mn 0.0000 0.0000 0.5000
Mn 0.0000 0.5000 0.0000
Mn 0.0000 0.5000 0.5000
Mn 0.5000 0.0000 0.0000
Mn 0.5000 0.0000 0.5000
Mn 0.5000 0.5000 0.0000
O 0.0000 0.0000 0.2500
O 0.0000 0.0000 0.7500
O 0.0000 0.2500 0.0000
O 0.0000 0.2500 0.5000
O 0.0000 0.5000 0.2500
O 0.0000 0.5000 0.7500
O 0.0000 0.7500 0.0000
O 0.0000 0.7500 0.5000
O 0.2467 0.5000 0.5000
O 0.2500 0.0000 0.0000
O 0.2500 0.0000 0.5000
O 0.2500 0.5000 0.0000
O 0.5000 0.0000 0.2500
O 0.5000 0.0000 0.7500
O 0.5000 0.2467 0.5000
O 0.5000 0.2500 0.0000
O 0.5000 0.5000 0.2467
O 0.5000 0.5000 0.7533
O 0.5000 0.7500 0.0000
O 0.5000 0.7533 0.5000
O 0.7500 0.0000 0.0000
O 0.7500 0.0000 0.5000
O 0.7500 0.5000 0.0000
O 0.7533 0.5000 0.5000

Principal peaks in the range 10° ≤ 2θ ≤ 80°, sorted by position:
2theta	I (rel.)
23.3	18
33.2	100
47.7	53
59.4	35
69.8	28
79.5	14

=====

For Al19CrO30, DFT lattice parameters and positions (GGA+U) gives the computed PXRD pattern in this record (Cu Ka).
Neutral-atom scattering factors, no anomalous dispersion.

Crystal structure
Unit cell a=4.8203 b=5.1912 c=19.9746 alpha=85.62 beta=89.99 gamma=62.35
Positions (direct):
Al 0.0000 0.0000 0.0000
Al 0.0139 0.9722 0.8593
Al 0.0991 0.8011 0.2987
Al 0.1142 0.7717 0.1585
Al 0.1999 0.5990 0.6008
Al 0.2162 0.5712 0.4606
Al 0.3001 0.3999 0.9002
Al 0.3140 0.3721 0.7595
Al 0.4000 0.1995 0.1996
Al 0.4138 0.1722 0.0591
Al 0.5007 0.0000 0.5015
Al 0.5127 0.9736 0.3585
Al 0.6002 0.7999 0.8003
Al 0.6139 0.7713 0.6599
Al 0.7001 0.5999 0.0998
Al 0.7138 0.5724 0.9592
Al 0.8136 0.3703 0.2580
Al 0.8999 0.1997 0.7007
Al 0.9146 0.1712 0.5609
Cr 0.7980 0.4050 0.3998
O 0.0347 0.6247 0.8187
O 0.0407 0.2248 0.9186
O 0.0634 0.4853 0.6802
O 0.1510 0.0859 0.7800
O 0.1701 0.3478 0.5417
O 0.1793 0.9471 0.6414
O 0.2412 0.8251 0.5191
O 0.2541 0.2205 0.4194
O 0.2620 0.0861 0.2792
O 0.3394 0.6953 0.3797
O 0.3737 0.9469 0.1407
O 0.3794 0.5470 0.2404
O 0.4344 0.8248 0.0185
O 0.4403 0.4251 0.1183
O 0.4631 0.6860 0.8798
O 0.5508 0.2862 0.9797
O 0.5733 0.5473 0.7413
O 0.5795 0.1472 0.8411
O 0.6338 0.4244 0.6195
O 0.6408 0.0244 0.7189
O 0.6572 0.2853 0.4839
O 0.7515 0.8839 0.5807
O 0.7717 0.1388 0.3372
O 0.7837 0.7539 0.4417
O 0.8349 0.0247 0.2170
O 0.8390 0.6276 0.3157
O 0.8629 0.8860 0.0794
O 0.9514 0.4854 0.1792
O 0.9733 0.7473 0.9409
O 0.9794 0.3472 0.0409

Principal peaks in the range 10° ≤ 2θ ≤ 80°, sorted by position:
2theta	I (rel.)
25.3	61
34.7	97
42.8	93
51.9	50
56.8	100
67.3	62

=====

For Li9Mn2Co5O16, DFT lattice parameters and positions (GGA+U) gives the computed PXRD pattern in this record (Cu Ka).
Neutral-atom scattering factors, no anomalous dispersion.

Crystal structure
Unit cell a=2.8993 b=5.1281 c=19.4318 alpha=94.61 beta=91.07 gamma=91.58
Positions (direct):
Li 0.0000 0.0000 0.0000
Li 0.0001 0.1302 0.3785
Li 0.0022 0.8717 0.6269
Li 0.0122 0.3682 0.1174
Li 0.4992 0.3776 0.6264
Li 0.4986 0.8897 0.1152
Li 0.5020 0.6174 0.3778
Li 0.5046 0.1093 0.8812
Li 0.9910 0.6227 0.8782
Mn 0.0016 0.7488 0.2504
Mn 0.4995 0.4985 0.0000
Co 0.4989 0.7483 0.7507
Co 0.5005 0.9983 0.5012
Co 0.5015 0.2482 0.2496
Co 0.9981 0.4986 0.5004
Co 0.9989 0.2479 0.7505
O 0.0047 0.0409 0.1942
O 0.0111 0.8057 0.4447
O 0.0129 0.5718 0.6919
O 0.0127 0.6675 0.0561
O 0.4616 0.6823 0.5573
O 0.4838 0.4222 0.8066
O 0.4889 0.5843 0.1962
O 0.4967 0.2138 0.0597
O 0.5031 0.7824 0.9422
O 0.5120 0.9163 0.3069
O 0.5153 0.0701 0.6910
O 0.5373 0.3119 0.4417
O 0.9832 0.9252 0.8079
O 0.9856 0.3299 0.9449
O 0.9926 0.1930 0.5555
O 0.9981 0.4529 0.3072

Principal peaks in the range 10° ≤ 2θ ≤ 80°, sorted by position:
2theta	I (rel.)
18.3	100
35.6	29
36.7	12
42.9	29
43.4	28
44.4	26

=====

For MgFe7Ni6O16, DFT lattice parameters and positions (GGA+U) gives the computed PXRD pattern in this record (Cu Ka).
Neutral-atom scattering factors, no anomalous dispersion.

Crystal structure
Unit cell a=6.1648 b=6.1648 c=10.4586 alpha=107.03 beta=107.03 gamma=60.13
Positions (direct):
Mg 0.0000 0.0000 0.0000
Fe 0.1981 0.6800 0.5438
Fe 0.2203 0.6220 0.0633
Fe 0.2443 0.2443 0.7183
Fe 0.6220 0.2203 0.0633
Fe 0.6222 0.6222 0.8602
Fe 0.6800 0.1981 0.5438
Fe 0.9253 0.9253 0.7575
Ni 0.2183 0.2183 0.0597
Ni 0.4396 0.4396 0.3088
Ni 0.4400 0.9385 0.3051
Ni 0.6784 0.6784 0.5429
Ni 0.9385 0.4400 0.3051
Ni 0.9405 0.9405 0.3066
O 0.0486 0.0486 0.6583
O 0.0567 0.5748 0.6614
O 0.0721 0.0721 0.1924
O 0.0765 0.5553 0.1864
O 0.2916 0.8217 0.9181
O 0.3062 0.3062 0.9143
O 0.3150 0.7945 0.4239
O 0.3249 0.3249 0.4298
O 0.5553 0.0765 0.1864
O 0.5561 0.5561 0.6630
O 0.5623 0.5623 0.1862
O 0.5748 0.0567 0.6614
O 0.7945 0.3150 0.4239
O 0.8141 0.8141 0.9149
O 0.8145 0.8145 0.4256
O 0.8217 0.2916 0.9181

Principal peaks in the range 10° ≤ 2θ ≤ 80°, sorted by position:
2theta	I (rel.)
17.7	45
35.7	66
41.7	100
41.8	48
60.0	52
61.0	67

=====

For CaMn6O5F7, DFT lattice parameters and positions (GGA+U) gives the computed PXRD pattern in this record (Cu Ka).
Neutral-atom scattering factors, no anomalous dispersion.

Crystal structure
Unit cell a=6.0128 b=6.5005 c=7.1904 alpha=73.51 beta=72.84 gamma=86.38
Positions (direct):
Ca 0.0000 0.0000 0.0000
Mn 0.0158 0.5199 0.4644
Mn 0.0596 0.5142 0.9720
Mn 0.4322 0.8050 0.1486
Mn 0.4908 0.8023 0.6191
Mn 0.6385 0.2718 0.8033
Mn 0.6539 0.2487 0.2950
O 0.2692 0.7456 0.9296
O 0.5693 0.9667 0.3010
O 0.7231 0.5659 0.6130
O 0.7984 0.3211 0.0073
O 0.9063 0.4603 0.2579
F 0.0030 0.2214 0.6436
F 0.0751 0.8338 0.3078
F 0.1638 0.5922 0.6675
F 0.2873 0.2300 0.9778
F 0.3598 0.4790 0.3182
F 0.5447 0.1463 0.5946
F 0.7247 0.8863 0.9022

Principal peaks in the range 10° ≤ 2θ ≤ 80°, sorted by position:
2theta	I (rel.)
20.8	100
27.0	98
31.1	23
32.4	43
33.0	34
35.0	45

=====

For LiV2F7, DFT lattice parameters and positions (GGA+U) gives the computed PXRD pattern in this record (Cu Ka).
Neutral-atom scattering factors, no anomalous dispersion.

Crystal structure
Unit cell a=7.8719 b=7.8719 c=5.2252 alpha=104.42 beta=104.42 gamma=55.41
Positions (direct):
Li 0.0202 0.9798 0.7500
Li 0.9798 0.0202 0.2500
V 0.1514 0.5137 0.2583
V 0.4863 0.8486 0.2417
V 0.5137 0.1514 0.7583
V 0.8486 0.4863 0.7417
F 0.0000 0.5000 0.5000
F 0.0824 0.3117 0.0083
F 0.1139 0.7775 0.4454
F 0.2225 0.8861 0.0546
F 0.3117 0.0824 0.5083
F 0.3489 0.4118 0.0092
F 0.4118 0.3489 0.5092
F 0.5000 0.0000 0.0000
F 0.5882 0.6511 0.4908
F 0.6511 0.5882 0.9908
F 0.6883 0.9176 0.4917
F 0.7775 0.1139 0.9454
F 0.8861 0.2225 0.5546
F 0.9176 0.6883 0.9917

Principal peaks in the range 10° ≤ 2θ ≤ 80°, sorted by position:
2theta	I (rel.)
13.2	99
21.0	43
23.4	41
23.9	43
25.8	100
30.2	30

=====

For Sr2AlGaW2O7, DFT lattice parameters and positions (GGA+U) gives the computed PXRD pattern in this record (Cu Ka).
Neutral-atom scattering factors, no anomalous dispersion.

Crystal structure
Unit cell a=5.5047 b=6.1273 c=11.8234 alpha=75.07 beta=76.87 gamma=89.99
Positions (direct):
Sr 0.0000 0.0000 0.0000
Sr 0.1749 0.1869 0.6251
Sr 0.4942 0.4475 0.0061
Sr 0.6705 0.6155 0.6324
Al 0.3730 0.3142 0.3127
Al 0.7967 0.8386 0.3306
Ga 0.0629 0.6335 0.8133
Ga 0.5625 0.9883 0.8164
W 0.2825 0.7593 0.4452
W 0.4258 0.8578 0.1798
W 0.7833 0.2688 0.4414
W 0.9058 0.3655 0.1784
O 0.0413 0.0063 0.2093
O 0.0542 0.4166 0.9560
O 0.1421 0.1025 0.4270
O 0.1792 0.5815 0.6606
O 0.2306 0.9068 0.8098
O 0.2430 0.5209 0.2027
O 0.4323 0.4305 0.4392
O 0.5160 0.0491 0.9659
O 0.5516 0.1881 0.1910
O 0.6197 0.9326 0.4620
O 0.6952 0.2011 0.6706
O 0.7282 0.7162 0.8134
O 0.7367 0.6745 0.1179
O 0.9347 0.6112 0.4272

Principal peaks in the range 10° ≤ 2θ ≤ 80°, sorted by position:
2theta	I (rel.)
21.7	32
23.1	40
29.1	49
32.5	100
32.7	54
44.2	37